This entry pairs a crystal structure of Ca3Ag3Pb2 with its theoretical powder diffractogram. Radiation: Cu Kα (λ = 1.5418 Å). Structure: DFT lattice parameters and positions (PBE).
No peak broadening, texture or thermal motion is included.

Structural model:
abc: 7.8621 17.5304 6.3362
angles: 90.00 90.00 90.00
Space group Pnma (No. 62)
Asymmetric unit:
Ca: 0.0191 0.1094 0.1560 (multiplicity 8)
Ca: 0.1615 0.2500 0.6099 (multiplicity 4)
Ag: 0.1825 0.0211 0.5632 (multiplicity 8)
Ag: 0.2099 0.7500 0.6411 (multiplicity 4)
Pb: 0.1228 0.6163 0.3322 (multiplicity 8)

Largest 10 diffraction maxima, by intensity, 15° ≤ 2θ ≤ 90°:
| Position (°2θ) | I/Imax | index |
| --- | --- | --- |
| 33.7 | 100 | 2 4 1 |
| 36.8 | 93 | 1 4 2 |
| 20.7 | 75 | 0 3 1 |
| 18.0 | 46 | 1 0 1 |
| 40.4 | 40 | 1 7 1 |
| 34.2 | 38 | 1 3 2 |
| 30.8 | 37 | 1 1 2 |
| 37.1 | 35 | 3 0 1 |
| 30.6 | 35 | 2 4 0 |
| 23.2 | 34 | 2 1 0 |

This entry pairs a crystal structure of SrCa2Ag2Pb2 with its theoretical powder diffractogram. Radiation: Cu Kα (λ = 1.5418 Å). Structure: DFT lattice parameters and positions (PBE).
No peak broadening, texture or thermal motion is included.

Structural model:
abc: 5.0414 5.0414 28.7666
angles: 90.00 90.00 120.00
Space group R-3m (No. 166, hexagonal axes)
Asymmetric unit:
Sr: 0.0000 0.0000 0.0000 (multiplicity 3)
Ca: 0.0000 0.0000 0.1283 (multiplicity 6)
Ag: 0.0000 0.0000 0.4079 (multiplicity 6)
Pb: 0.0000 0.0000 0.2528 (multiplicity 6)

Largest 10 diffraction maxima, by intensity, 15° ≤ 2θ ≤ 90°:
| Position (°2θ) | I/Imax | index |
| --- | --- | --- |
| 35.6 | 100 | 1 1 0 |
| 18.5 | 69 | 0 0 6 |
| 32.3 | 62 | 0 1 8 |
| 40.4 | 59 | 1 1 6 |
| 52.7 | 36 | 1 1 12 |
| 29.9 | 29 | 1 0 7 |
| 21.3 | 29 | 0 1 2 |
| 23.8 | 27 | 1 0 4 |
| 48.8 | 20 | 2 0 8 |
| 61.9 | 19 | 1 2 8 |

> Number 2 is which compound?

SrCa2Ag2Pb2